Structure and calculated XRD peak list of CaBe (a structure optimized by DFT (GGA-PBE); Cu Kα, 1.54184 Å).
Kinematic intensities with the Lorentz-polarization factor, no thermal factor.

Largest 12 diffraction maxima, by angle, 15 to 90 degrees two-theta:
2θ/deg	d (Å)	intensity
24.5	3.636	45
25.8	3.455	36
26.5	3.362	88
31.8	2.814	100
35.9	2.505	39
40.5	2.225	33
45.5	1.995	42
51.3	1.780	19
52.3	1.749	30
56.6	1.627	17
70.0	1.344	20
75.4	1.261	13

abc: 3.990 3.990 14.542
angles: 90.00 90.00 120.00
Fractional coordinates of all 8 atoms:
Ca1 0.333 0.667 0.121
Ca2 0.333 0.667 0.379
Ca3 0.667 0.333 0.621
Ca4 0.667 0.333 0.879
Be1 0.000 0.000 0.250
Be2 0.000 0.000 0.750
Be3 0.333 0.667 0.750
Be4 0.667 0.333 0.250

Structure and calculated XRD peak list of Ca3Be (a structure optimized by DFT (GGA-PBE); Cu Kα, 1.54184 Å).
Kinematic intensities with the Lorentz-polarization factor, no thermal factor.

Largest 12 diffraction maxima, by angle, 15 to 90 degrees two-theta:
2θ/deg	d (Å)	intensity
26.2	3.400	79
28.3	3.159	43
31.0	2.888	100
34.8	2.575	61
45.4	1.996	43
45.7	1.986	13
50.1	1.821	20
54.6	1.681	18
57.4	1.605	15
58.5	1.578	24
60.1	1.540	25
80.5	1.193	14

abc: 3.642 3.642 9.476
angles: 90.00 90.00 90.00
Fractional coordinates of all 4 atoms:
Ca1 0.000 0.000 0.000
Ca2 0.500 0.500 0.321
Ca3 0.500 0.500 0.679
Be1 0.000 0.000 0.500

Structure and calculated XRD peak list of Ca5Be3 (a structure optimized by DFT (GGA-PBE); Cu Kα, 1.54184 Å).
Kinematic intensities with the Lorentz-polarization factor, no thermal factor.

Largest 12 diffraction maxima, by angle, 15 to 90 degrees two-theta:
2θ/deg	d (Å)	intensity
22.2	4.011	40
23.6	3.763	63
29.3	3.051	27
30.8	2.903	95
31.2	2.869	23
33.0	2.715	31
33.7	2.661	50
34.4	2.609	100
36.4	2.470	48
52.8	1.732	19
54.5	1.684	22
55.2	1.663	36

abc: 8.959 8.959 8.939
angles: 96.65 96.65 140.18
Fractional coordinates of all 16 atoms:
Ca1 0.000 0.000 0.000
Ca2 0.041 0.668 0.208
Ca3 0.168 0.960 0.629
Ca4 0.332 0.540 0.372
Ca5 0.460 0.832 0.793
Ca6 0.501 0.501 0.001
Ca7 0.540 0.332 0.372
Ca8 0.668 0.041 0.208
Ca9 0.832 0.460 0.793
Ca10 0.960 0.168 0.629
Be1 0.000 0.500 0.501
Be2 0.093 0.408 0.001
Be3 0.408 0.093 0.001
Be4 0.500 0.000 0.501
Be5 0.592 0.592 0.684
Be6 0.910 0.910 0.317

Structure and calculated XRD peak list of Ca3Be (a structure optimized by DFT (GGA-PBE); Cu Kα, 1.54184 Å).
Kinematic intensities with the Lorentz-polarization factor, no thermal factor.

Largest 12 diffraction maxima, by angle, 15 to 90 degrees two-theta:
2θ/deg	d (Å)	intensity
25.6	3.477	45
26.5	3.370	51
27.8	3.206	58
31.6	2.830	100
37.2	2.420	34
43.9	2.062	11
46.7	1.945	31
51.5	1.774	26
54.0	1.698	29
57.5	1.603	15
73.0	1.296	10
77.1	1.237	12

abc: 3.891 3.891 10.432
angles: 90.00 90.00 120.00
Fractional coordinates of all 4 atoms:
Ca1 0.000 0.000 0.000
Ca2 0.667 0.333 0.314
Ca3 0.667 0.333 0.686
Be1 0.000 0.000 0.500

Structure and calculated XRD peak list of CaBeCd2 (a structure optimized by DFT (GGA-PBE); Cu Kα, 1.54184 Å).
Kinematic intensities with the Lorentz-polarization factor, no thermal factor.

Largest 12 diffraction maxima, by angle, 15 to 90 degrees two-theta:
2θ/deg	d (Å)	intensity
16.7	5.312	86
23.7	3.756	65
25.5	3.490	42
25.7	3.471	85
32.3	2.774	83
36.4	2.466	51
36.6	2.455	100
40.4	2.234	87
40.5	2.225	43
44.1	2.055	28
46.3	1.961	39
55.6	1.652	42

abc: 4.468 4.468 5.897
angles: 112.13 112.13 59.74
Fractional coordinates of all 4 atoms:
Ca1 0.000 0.000 0.000
Be1 0.500 0.500 0.500
Cd1 0.207 0.207 0.624
Cd2 0.793 0.793 0.376

Structure and calculated XRD peak list of Ca2BeCdHg (a structure optimized by DFT (GGA-PBE); Cu Kα, 1.54184 Å).
Kinematic intensities with the Lorentz-polarization factor, no thermal factor.

Largest 12 diffraction maxima, by angle, 15 to 90 degrees two-theta:
2θ/deg	d (Å)	intensity
16.0	5.547	12
19.9	4.453	21
22.7	3.922	36
30.4	2.943	100
32.3	2.774	45
38.2	2.354	18
40.5	2.226	12
46.3	1.961	16
52.7	1.736	22
56.4	1.632	34
63.2	1.472	13
67.5	1.388	15

abc: 5.547 5.547 4.453
angles: 90.00 90.00 90.00
Fractional coordinates of all 5 atoms:
Ca1 0.000 0.500 0.000
Ca2 0.500 0.000 0.000
Be1 0.000 0.000 0.000
Cd1 0.500 0.500 0.500
Hg1 0.000 0.000 0.500

Repeat the sixth record exactly.
Structure and calculated XRD peak list of Ca2BeCdHg (a structure optimized by DFT (GGA-PBE); Cu Kα, 1.54184 Å).
Kinematic intensities with the Lorentz-polarization factor, no thermal factor.

Largest 12 diffraction maxima, by angle, 15 to 90 degrees two-theta:
2θ/deg	d (Å)	intensity
16.0	5.547	12
19.9	4.453	21
22.7	3.922	36
30.4	2.943	100
32.3	2.774	45
38.2	2.354	18
40.5	2.226	12
46.3	1.961	16
52.7	1.736	22
56.4	1.632	34
63.2	1.472	13
67.5	1.388	15

abc: 5.547 5.547 4.453
angles: 90.00 90.00 90.00
Fractional coordinates of all 5 atoms:
Ca1 0.000 0.500 0.000
Ca2 0.500 0.000 0.000
Be1 0.000 0.000 0.000
Cd1 0.500 0.500 0.500
Hg1 0.000 0.000 0.500

What did the fifth record say?
Structure and calculated XRD peak list of CaBeCd2 (a structure optimized by DFT (GGA-PBE); Cu Kα, 1.54184 Å).
Kinematic intensities with the Lorentz-polarization factor, no thermal factor.

Largest 12 diffraction maxima, by angle, 15 to 90 degrees two-theta:
2θ/deg	d (Å)	intensity
16.7	5.312	86
23.7	3.756	65
25.5	3.490	42
25.7	3.471	85
32.3	2.774	83
36.4	2.466	51
36.6	2.455	100
40.4	2.234	87
40.5	2.225	43
44.1	2.055	28
46.3	1.961	39
55.6	1.652	42

abc: 4.468 4.468 5.897
angles: 112.13 112.13 59.74
Fractional coordinates of all 4 atoms:
Ca1 0.000 0.000 0.000
Be1 0.500 0.500 0.500
Cd1 0.207 0.207 0.624
Cd2 0.793 0.793 0.376